V4O3F9: computed powder XRD pattern (Cu Kα), based on a cell relaxed with GGA+U.
Lines closer than 0.1° are merged.

Cell and atoms:
a b c (Å): 5.2072 5.4109 17.3959
angles (deg): 89.34 81.72 61.44
Atoms (fractional coordinates):
V: 0.0000 0.0000 0.0000
V: 0.0002 0.4847 0.4999
V: 0.2981 0.8433 0.6224
V: 0.3078 0.3647 0.1234
V: 0.5311 0.2011 0.7426
V: 0.5347 0.7223 0.2478
V: 0.7571 0.6245 0.8680
V: 0.7628 0.0811 0.3715
O: 0.4434 0.5493 0.1634
O: 0.4584 0.0526 0.6692
O: 0.5847 0.8976 0.8131
O: 0.6264 0.8959 0.3331
O: 0.6383 0.1775 0.0377
O: 0.6394 0.6719 0.5385
F: 0.0111 0.7838 0.4357
F: 0.0671 0.1512 0.5578
F: 0.0685 0.6596 0.0582
F: 0.1100 0.9444 0.2874
F: 0.1128 0.4293 0.7880
F: 0.1264 0.6234 0.5845
F: 0.1294 0.1401 0.0819
F: 0.4458 0.7684 0.9597
F: 0.4476 0.2651 0.4610
F: 0.5091 0.0300 0.1837
F: 0.5125 0.5272 0.6881
F: 0.5569 0.4175 0.3136
F: 0.6083 0.3814 0.8333
F: 0.9542 0.3019 0.4109
F: 0.9577 0.5005 0.2081
F: 0.9588 0.0099 0.7102
F: 0.9657 0.8023 0.9117
F: 0.9968 0.2944 0.9325

Largest 10 diffraction maxima, by intensity, 10 to 80 degrees two-theta:
2theta  intensity
23.66  100.0
23.56  99.7
23.83  99.6
33.18  27.1
54.04  23.1
53.76  22.5
53.61  21.6
48.19  21.5
48.41  20.6
48.77  19.6



Y4Mn13Si2Sb2O28: computed powder XRD pattern (Cu Kα), based on a cell relaxed with GGA+U.
Lines closer than 0.1° are merged.

Cell and atoms:
a b c (Å): 12.5751 12.5751 9.5038
angles (deg): 92.45 92.45 153.23
Atoms (fractional coordinates):
Y: 0.0140 0.4295 0.1544
Y: 0.4295 0.0140 0.1544
Y: 0.5705 0.9860 0.8456
Y: 0.9860 0.5705 0.8456
Mn: 0.0721 0.9279 0.5000
Mn: 0.1599 0.4231 0.8524
Mn: 0.1643 0.2906 0.1719
Mn: 0.2093 0.7907 0.5000
Mn: 0.2906 0.1643 0.1719
Mn: 0.4231 0.1599 0.8524
Mn: 0.5000 0.5000 0.5000
Mn: 0.5769 0.8401 0.1476
Mn: 0.7094 0.8357 0.8281
Mn: 0.7907 0.2093 0.5000
Mn: 0.8357 0.7094 0.8281
Mn: 0.8401 0.5769 0.1476
Mn: 0.9279 0.0721 0.5000
Si: 0.2543 0.2543 0.7947
Si: 0.7457 0.7457 0.2053
Sb: 0.3594 0.6406 0.5000
Sb: 0.6406 0.3594 0.5000
O: 0.0575 0.6363 0.1112
O: 0.0812 0.1895 0.8574
O: 0.1002 0.3869 0.6202
O: 0.1021 0.5113 0.3917
O: 0.1895 0.0812 0.8574
O: 0.1909 0.1909 0.6167
O: 0.2150 0.4785 0.0957
O: 0.2288 0.3851 0.3939
O: 0.3637 0.9425 0.8888
O: 0.3851 0.2288 0.3939
O: 0.3869 0.1002 0.6202
O: 0.4598 0.4598 0.1591
O: 0.4785 0.2150 0.0957
O: 0.4887 0.8979 0.6083
O: 0.5113 0.1021 0.3917
O: 0.5215 0.7850 0.9043
O: 0.5402 0.5402 0.8409
O: 0.6131 0.8998 0.3798
O: 0.6149 0.7712 0.6061
O: 0.6363 0.0575 0.1112
O: 0.7712 0.6149 0.6061
O: 0.7850 0.5215 0.9043
O: 0.8091 0.8091 0.3833
O: 0.8105 0.9188 0.1426
O: 0.8979 0.4887 0.6083
O: 0.8998 0.6131 0.3798
O: 0.9188 0.8105 0.1426
O: 0.9425 0.3637 0.8888

Largest 10 diffraction maxima, by intensity, 10 to 80 degrees two-theta:
2theta  intensity
28.67  100.0
32.37  78.2
29.96  51.7
54.05  45.1
34.07  42.4
33.58  35.0
30.95  27.2
44.01  27.0
55.47  25.7
52.02  24.6



Li4Fe7O2F14: computed powder XRD pattern (Cu Kα), based on a cell relaxed with GGA+U.
Lines closer than 0.1° are merged.

Cell and atoms:
a b c (Å): 5.1768 6.1235 10.6987
angles (deg): 92.16 90.72 91.12
Atoms (fractional coordinates):
Li: 0.0268 0.2475 0.4036
Li: 0.4467 0.2686 0.9162
Li: 0.5533 0.7314 0.0838
Li: 0.9732 0.7525 0.5964
Fe: 0.0000 0.0000 0.0000
Fe: 0.0042 0.2616 0.7378
Fe: 0.4938 0.7525 0.7617
Fe: 0.5000 0.0000 0.5000
Fe: 0.5000 0.5000 0.5000
Fe: 0.5062 0.2475 0.2383
Fe: 0.9958 0.7384 0.2622
O: 0.3373 0.7530 0.5887
O: 0.6627 0.2470 0.4113
F: 0.1980 0.7671 0.0899
F: 0.2074 0.2487 0.5641
F: 0.2190 0.0017 0.3301
F: 0.2247 0.4821 0.3296
F: 0.2484 0.0172 0.8364
F: 0.2724 0.4737 0.8203
F: 0.3006 0.2266 0.0750
F: 0.6994 0.7734 0.9250
F: 0.7276 0.5263 0.1797
F: 0.7516 0.9828 0.1636
F: 0.7753 0.5179 0.6704
F: 0.7810 0.9983 0.6699
F: 0.7926 0.7513 0.4359
F: 0.8020 0.2329 0.9101

Largest 10 diffraction maxima, by intensity, 10 to 80 degrees two-theta:
2theta  intensity
23.92  100.0
24.49  70.9
48.99  55.5
33.45  39.8
48.64  39.4
23.70  37.3
37.73  31.9
49.32  31.0
48.46  29.6
50.20  29.2



MgCoHO2: computed powder XRD pattern (Cu Kα), based on a cell relaxed with GGA+U.
Lines closer than 0.1° are merged.

Cell and atoms:
a b c (Å): 3.1441 3.1441 5.0970
angles (deg): 105.11 105.11 74.13
Atoms (fractional coordinates):
Mg: 0.0000 0.0000 0.0000
Co: 0.5000 0.5000 0.5000
H: 0.5000 0.5000 0.0000
O: 0.2888 0.2888 0.7980
O: 0.7112 0.7112 0.2020

Largest 10 diffraction maxima, by intensity, 10 to 80 degrees two-theta:
2theta  intensity
38.81  100.0
43.97  38.0
32.09  35.9
48.00  35.0
30.19  33.2
60.50  24.0
59.64  23.7
67.13  17.9
37.33  16.6
37.95  14.9



CoF3: computed powder XRD pattern (Cu Kα), based on a cell relaxed with GGA+U.
Lines closer than 0.1° are merged.

Cell and atoms:
a b c (Å): 3.8715 5.4217 5.4331
angles (deg): 90.07 90.06 90.27
Atoms (fractional coordinates):
Co: 0.0000 0.0000 0.0000
Co: 0.0000 0.5000 0.5000
F: 0.9998 0.2420 0.7587
F: 0.0002 0.7580 0.2413
F: 0.0010 0.2591 0.2582
F: 0.5000 0.0000 0.0000
F: 0.5000 0.5000 0.5000
F: 0.9990 0.7409 0.7418

Largest 10 diffraction maxima, by intensity, 10 to 80 degrees two-theta:
2theta  intensity
23.18  100.0
22.97  51.0
47.38  27.3
53.36  21.5
32.83  15.7
46.94  14.2
32.96  10.4
52.90  9.0
53.06  8.9
53.21  8.7



CaFe3O7: computed powder XRD pattern (Cu Kα), based on a cell relaxed with GGA+U.
Lines closer than 0.1° are merged.

Cell and atoms:
a b c (Å): 11.2169 10.4845 5.3317
angles (deg): 90.00 90.00 90.00
Atoms (fractional coordinates):
Ca: 0.0819 0.2500 0.1856
Ca: 0.4181 0.7500 0.6856
Ca: 0.5819 0.2500 0.3144
Ca: 0.9181 0.7500 0.8144
Fe: 0.1903 0.5245 0.6947
Fe: 0.1903 0.9755 0.6947
Fe: 0.2159 0.7500 0.1872
Fe: 0.2841 0.2500 0.6872
Fe: 0.3097 0.0245 0.1947
Fe: 0.3097 0.4755 0.1947
Fe: 0.6903 0.5245 0.8053
Fe: 0.6903 0.9755 0.8053
Fe: 0.7159 0.7500 0.3128
Fe: 0.7841 0.2500 0.8128
Fe: 0.8097 0.0245 0.3053
Fe: 0.8097 0.4755 0.3053
O: 0.0416 0.5821 0.7201
O: 0.0416 0.9179 0.7201
O: 0.0578 0.7500 0.1358
O: 0.2184 0.1191 0.4526
O: 0.2184 0.3809 0.4526
O: 0.2247 0.1207 0.9323
O: 0.2247 0.3793 0.9323
O: 0.2753 0.6207 0.4323
O: 0.2753 0.8793 0.4323
O: 0.2816 0.6191 0.9526
O: 0.2816 0.8809 0.9526
O: 0.4422 0.2500 0.6358
O: 0.4584 0.0821 0.2201
O: 0.4584 0.4179 0.2201
O: 0.5416 0.5821 0.7799
O: 0.5416 0.9179 0.7799
O: 0.5578 0.7500 0.3642
O: 0.7184 0.1191 0.0474
O: 0.7184 0.3809 0.0474
O: 0.7247 0.1207 0.5677
O: 0.7247 0.3793 0.5677
O: 0.7753 0.6207 0.0677
O: 0.7753 0.8793 0.0677
O: 0.7816 0.6191 0.5474
O: 0.7816 0.8809 0.5474
O: 0.9422 0.2500 0.8642
O: 0.9584 0.0821 0.2799
O: 0.9584 0.4179 0.2799

Largest 10 diffraction maxima, by intensity, 10 to 80 degrees two-theta:
2theta  intensity
15.80  100.0
28.70  98.3
24.55  29.7
49.44  25.2
34.59  23.6
30.59  23.1
54.91  19.9
33.62  15.8
48.72  15.7
25.11  15.0



KNa7V8O24: computed powder XRD pattern (Cu Kα), based on a cell relaxed with GGA+U.
Lines closer than 0.1° are merged.

Cell and atoms:
a b c (Å): 5.9552 9.8324 10.6925
angles (deg): 90.00 104.54 90.00
Atoms (fractional coordinates):
K: 0.0000 0.0000 0.0000
Na: 0.0000 0.2898 0.5000
Na: 0.0000 0.6085 0.0000
Na: 0.0000 0.9079 0.5000
Na: 0.5000 0.1091 0.5000
Na: 0.5000 0.4080 0.0000
Na: 0.5000 0.4911 0.5000
Na: 0.5000 0.7888 0.0000
V: 0.2127 0.2890 0.2103
V: 0.2133 0.6106 0.7096
V: 0.2883 0.7867 0.2923
V: 0.2890 0.1119 0.7883
V: 0.7110 0.1119 0.2117
V: 0.7117 0.7867 0.7077
V: 0.7873 0.2890 0.7897
V: 0.7867 0.6106 0.2904
O: 0.0723 0.6897 0.3500
O: 0.0750 0.2111 0.8466
O: 0.2129 0.1008 0.6257
O: 0.2134 0.4423 0.1438
O: 0.2135 0.4567 0.6437
O: 0.2192 0.7915 0.1299
O: 0.2859 0.9424 0.3553
O: 0.2868 0.6003 0.8725
O: 0.2877 0.2992 0.3731
O: 0.2938 0.9572 0.8526
O: 0.4254 0.1907 0.1508
O: 0.4256 0.7086 0.6493
O: 0.5744 0.7086 0.3507
O: 0.5746 0.1907 0.8492
O: 0.7062 0.9572 0.1474
O: 0.7123 0.2992 0.6269
O: 0.7132 0.6003 0.1275
O: 0.7141 0.9424 0.6447
O: 0.7808 0.7915 0.8701
O: 0.7871 0.1008 0.3743
O: 0.7866 0.4423 0.8562
O: 0.7865 0.4567 0.3563
O: 0.9250 0.2111 0.1534
O: 0.9277 0.6897 0.6500

Largest 10 diffraction maxima, by intensity, 10 to 80 degrees two-theta:
2theta  intensity
26.63  100.0
27.41  60.0
23.94  53.9
31.51  45.8
32.31  35.9
17.13  28.0
24.98  21.0
49.62  20.9
39.97  18.0
59.06  17.5



LiDy2Mn4O8: computed powder XRD pattern (Cu Kα), based on a cell relaxed with GGA+U.
Lines closer than 0.1° are merged.

Cell and atoms:
a b c (Å): 6.2068 6.4789 6.6259
angles (deg): 118.96 117.16 90.35
Atoms (fractional coordinates):
Li: 0.0000 0.0000 0.0000
Dy: 0.2862 0.2677 0.5248
Dy: 0.9703 0.4672 0.9297
Mn: 0.0738 0.8146 0.6178
Mn: 0.5657 0.8262 0.6433
Mn: 0.5980 0.8593 0.1866
Mn: 0.5995 0.3366 0.1896
O: 0.3598 0.1057 0.2065
O: 0.3703 0.6046 0.2032
O: 0.3843 0.6660 0.7315
O: 0.3898 0.0770 0.7338
O: 0.8258 0.6435 0.6948
O: 0.8300 0.0566 0.6953
O: 0.8299 0.6002 0.1911
O: 0.8852 0.1321 0.2560

Largest 10 diffraction maxima, by intensity, 10 to 80 degrees two-theta:
2theta  intensity
26.76  100.0
33.26  73.1
30.92  69.7
32.39  62.9
33.10  61.3
30.61  58.9
27.54  58.2
16.37  56.0
48.21  55.5
26.92  47.9